ZrMoW14: calculated powder diffraction line list (Cu Kα, 1.54184 Å), based on a cell relaxed with GGA-PBE.
Peak positions follow from Bragg's law for the DFT cell and can differ from measured ones.

Atomic structure:
```
data_ZrMoW14
_space_group_name_H-M_alt 'P 1'
_space_group_IT_number 1
_cell_length_a 5.539
_cell_length_b 5.539
_cell_length_c 9.069
_cell_angle_alpha 90.00
_cell_angle_beta 90.00
_cell_angle_gamma 109.33
loop_
_space_group_symop_operation_xyz
'x,y,z'
loop_
_atom_site_label
_atom_site_fract_x
_atom_site_fract_y
_atom_site_fract_z
_atom_site_occupancy
Zr1 0.000 0.000 0.000 1
Mo1 0.500 0.500 0.000 1
W1 0.000 0.000 0.500 1
W2 0.000 0.500 0.000 1
W3 0.000 0.500 0.500 1
W4 0.250 0.750 0.251 1
W5 0.250 0.750 0.749 1
W6 0.253 0.253 0.255 1
W7 0.253 0.253 0.745 1
W8 0.500 0.000 0.000 1
W9 0.500 0.000 0.500 1
W10 0.500 0.500 0.500 1
W11 0.747 0.747 0.255 1
W12 0.747 0.747 0.745 1
W13 0.750 0.250 0.251 1
W14 0.750 0.250 0.749 1
```

Top 10 peaks for 10 to 90 degrees two-theta, by intensity:
2θ 39.80, I 100.0; 2θ 72.36, I 21.0; 2θ 72.20, I 21.0; 2θ 57.57, I 20.6; 2θ 39.90, I 19.9; 2θ 85.83, I 9.1; 2θ 86.06, I 2.3; 2θ 85.70, I 2.3; 2θ 19.61, I 0.9; 2θ 21.98, I 0.8